Entry 1:
This entry pairs a crystal structure of CuNi3Mo with its computed powder XRD pattern. Radiation: Cu Kα (λ = 1.5418 Å). Structure: a PBE-relaxed structure.

Structural model:
Cell lengths 7.246, 7.246, 2.537 Å; angles 90.00, 90.00, 108.69 degrees
Fractional coordinates of all 10 atoms:
Cu 0.129 0.129 0.000
Cu 0.871 0.871 0.500
Ni 0.103 0.424 0.329
Ni 0.410 0.590 0.750
Ni 0.424 0.103 0.671
Ni 0.576 0.897 0.171
Ni 0.590 0.410 0.250
Ni 0.897 0.576 0.829
Mo 0.210 0.790 0.250
Mo 0.790 0.210 0.750

Peak list (10 most intense, 2θ = 10–90°, in order of rising 2θ)
| 2θ (°) | I (rel.) |
| --- | --- |
| 15.05 | 17.4 |
| 39.38 | 31.5 |
| 39.73 | 58.1 |
| 42.82 | 27.6 |
| 43.82 | 66.8 |
| 44.41 | 100.0 |
| 45.63 | 31.0 |
| 51.33 | 25.7 |
| 52.30 | 23.2 |
| 53.97 | 22.4 |

***

Entry 2:
This entry pairs a crystal structure of CuNi5Mo with its computed powder XRD pattern. Radiation: Cu Kα (λ = 1.5418 Å). Structure: a PBE-relaxed structure.

Structural model:
Cell lengths 4.369, 4.369, 9.614 Å; angles 90.00, 90.00, 69.77 degrees
Fractional coordinates of all 14 atoms:
Cu 0.141 0.859 0.750
Cu 0.859 0.141 0.250
Ni 0.076 0.345 0.614
Ni 0.076 0.345 0.886
Ni 0.345 0.076 0.114
Ni 0.345 0.076 0.386
Ni 0.398 0.602 0.250
Ni 0.602 0.398 0.750
Ni 0.655 0.924 0.614
Ni 0.655 0.924 0.886
Ni 0.924 0.655 0.114
Ni 0.924 0.655 0.386
Mo 0.500 0.500 0.000
Mo 0.500 0.500 0.500

Peak list (10 most intense, 2θ = 10–90°, in order of rising 2θ)
| 2θ (°) | I (rel.) |
| --- | --- |
| 21.68 | 14.9 |
| 28.62 | 25.0 |
| 41.91 | 31.1 |
| 43.66 | 23.9 |
| 45.23 | 77.4 |
| 45.44 | 100.0 |
| 46.08 | 66.4 |
| 50.97 | 24.0 |
| 71.12 | 15.4 |
| 85.02 | 16.9 |

***

Entry 3:
This entry pairs a crystal structure of CuNi9Mo2 with its computed powder XRD pattern. Radiation: Cu Kα (λ = 1.5418 Å). Structure: a PBE-relaxed structure.

Structural model:
Cell lengths 8.249, 8.249, 8.249 Å; angles 32.83, 32.83, 32.83 degrees
Fractional coordinates of all 12 atoms:
Cu 0.000 0.000 0.000
Ni 0.081 0.589 0.586
Ni 0.333 0.333 0.333
Ni 0.411 0.414 0.919
Ni 0.414 0.919 0.411
Ni 0.500 0.500 0.500
Ni 0.586 0.081 0.589
Ni 0.589 0.586 0.081
Ni 0.667 0.667 0.667
Ni 0.919 0.411 0.414
Mo 0.145 0.145 0.145
Mo 0.855 0.855 0.855

Peak list (10 most intense, 2θ = 10–90°, in order of rising 2θ)
| 2θ (°) | I (rel.) |
| --- | --- |
| 34.85 | 21.6 |
| 37.99 | 16.5 |
| 38.62 | 31.4 |
| 45.08 | 28.3 |
| 45.33 | 100.0 |
| 46.59 | 22.5 |
| 48.37 | 16.9 |
| 49.15 | 26.9 |
| 74.60 | 20.7 |
| 82.82 | 20.0 |

***

- Which formula does entry 3 have?
  CuNi9Mo2

***

- Number 3 is which compound?
  CuNi9Mo2